The following is a computed X-ray diffraction stick pattern of Cs2AlBr6Cl. It was derived from a cell relaxed with GGA-PBE, using Cu Kα.

Most intense lines, 10° ≤ 2θ ≤ 90°, in order of rising 2θ:
two_theta	I_rel
22.33	14
26.98	100
30.14	46
33.11	11
33.35	21
43.15	13
45.57	27
51.63	18
55.61	11
55.82	11

Atomic structure:
```
data_Cs2AlBr6Cl
_chemical_formula_sum 'Cs2 Al1 Br6 Cl1'
_cell_length_a 8.002
_cell_length_b 8.002
_cell_length_c 8.002
_cell_angle_alpha 116.80
_cell_angle_beta 116.80
_cell_angle_gamma 95.64
_symmetry_space_group_name_H-M 'P 1'
_symmetry_Int_Tables_number 1
loop_
_symmetry_equiv_pos_as_xyz
'x,y,z'
loop_
_atom_site_label
_atom_site_fract_x
_atom_site_fract_y
_atom_site_fract_z
Cs1 0.250 0.750 0.500
Cs2 0.750 0.250 0.500
Al1 0.000 0.000 0.000
Br1 0.205 0.205 0.410
Br2 0.205 0.795 0.000
Br3 0.271 0.271 0.000
Br4 0.729 0.729 0.000
Br5 0.795 0.205 0.000
Br6 0.795 0.795 0.590
Cl1 0.500 0.500 0.000
```

=====

The following is a computed X-ray diffraction stick pattern of Th5Ir4Pt. It was derived from a cell relaxed with GGA-PBE, using Cu Kα.

Most intense lines, 10° ≤ 2θ ≤ 90°, in order of rising 2θ:
two_theta	I_rel
30.51	100
43.68	63
43.76	13
54.18	13
54.28	14
63.51	13
72.07	29
72.19	6
80.20	13
80.34	13

Atomic structure:
```
data_Th5Ir4Pt
_chemical_formula_sum 'Th5 Ir4 Pt1'
_cell_length_a 10.972
_cell_length_b 10.972
_cell_length_c 10.972
_cell_angle_alpha 158.27
_cell_angle_beta 149.02
_cell_angle_gamma 38.16
_symmetry_space_group_name_H-M 'P 1'
_symmetry_Int_Tables_number 1
loop_
_symmetry_equiv_pos_as_xyz
'x,y,z'
loop_
_atom_site_label
_atom_site_fract_x
_atom_site_fract_y
_atom_site_fract_z
Th1 0.000 0.000 0.000
Th2 0.199 0.199 0.000
Th3 0.395 0.395 0.000
Th4 0.605 0.605 0.000
Th5 0.801 0.801 0.000
Ir1 0.099 0.599 0.500
Ir2 0.299 0.799 0.500
Ir3 0.701 0.201 0.500
Ir4 0.901 0.401 0.500
Pt1 0.500 0.000 0.500
```

=====

The following is a computed X-ray diffraction stick pattern of Ac2TbSe3. It was derived from a cell relaxed with GGA-PBE, using Cu Kα.

Most intense lines, 10° ≤ 2θ ≤ 90°, in order of rising 2θ:
two_theta	I_rel
24.89	18
25.33	17
29.07	100
41.05	13
41.57	50
42.16	12
51.07	14
52.01	13
68.27	22
75.14	8

Atomic structure:
```
data_Ac2TbSe3
_chemical_formula_sum 'Ac8 Tb4 Se12'
_cell_length_a 14.254
_cell_length_b 13.591
_cell_length_c 7.560
_cell_angle_alpha 79.15
_cell_angle_beta 69.46
_cell_angle_gamma 31.39
_symmetry_space_group_name_H-M 'P 1'
_symmetry_Int_Tables_number 1
loop_
_symmetry_equiv_pos_as_xyz
'x,y,z'
loop_
_atom_site_label
_atom_site_fract_x
_atom_site_fract_y
_atom_site_fract_z
Ac1 0.045 0.045 0.205
Ac2 0.123 0.123 0.627
Ac3 0.205 0.205 0.045
Ac4 0.373 0.373 0.877
Ac5 0.627 0.627 0.123
Ac6 0.795 0.795 0.955
Ac7 0.877 0.877 0.373
Ac8 0.955 0.955 0.795
Tb1 0.292 0.292 0.458
Tb2 0.458 0.458 0.292
Tb3 0.542 0.542 0.708
Tb4 0.708 0.708 0.542
Se1 0.037 0.539 0.232
Se2 0.148 0.602 0.602
Se3 0.232 0.692 0.037
Se4 0.308 0.768 0.461
Se5 0.398 0.852 0.852
Se6 0.461 0.963 0.308
Se7 0.539 0.037 0.692
Se8 0.602 0.148 0.148
Se9 0.692 0.232 0.539
Se10 0.768 0.308 0.963
Se11 0.852 0.398 0.398
Se12 0.963 0.461 0.768
```

=====

The following is a computed X-ray diffraction stick pattern of Pm2HoTeO8. It was derived from a cell relaxed with GGA-PBE, using Cu Kα.

Most intense lines, 10° ≤ 2θ ≤ 90°, in order of rising 2θ:
two_theta	I_rel
24.18	60
24.66	54
31.05	100
34.81	29
47.06	42
47.60	37
56.82	10
58.79	11
60.08	23
64.73	11

Atomic structure:
```
data_Pm2HoTeO8
_chemical_formula_sum 'Pm2 Ho1 Te1 O8'
_cell_length_a 5.155
_cell_length_b 5.155
_cell_length_c 6.947
_cell_angle_alpha 90.00
_cell_angle_beta 90.00
_cell_angle_gamma 91.11
_symmetry_space_group_name_H-M 'P 1'
_symmetry_Int_Tables_number 1
loop_
_symmetry_equiv_pos_as_xyz
'x,y,z'
loop_
_atom_site_label
_atom_site_fract_x
_atom_site_fract_y
_atom_site_fract_z
Pm1 0.000 0.000 0.250
Pm2 0.000 0.000 0.750
Ho1 0.500 0.500 0.000
Te1 0.500 0.500 0.500
O1 0.198 0.198 0.000
O2 0.232 0.232 0.500
O3 0.322 0.678 0.288
O4 0.322 0.678 0.712
O5 0.678 0.322 0.288
O6 0.678 0.322 0.712
O7 0.768 0.768 0.500
O8 0.802 0.802 0.000
```

=====

The following is a computed X-ray diffraction stick pattern of YThSeN. It was derived from a cell relaxed with GGA-PBE, using Cu Kα.

Most intense lines, 10° ≤ 2θ ≤ 90°, in order of rising 2θ:
two_theta	I_rel
27.91	100
29.46	24
30.93	56
35.01	64
42.15	39
48.40	26
51.31	41
55.91	26
65.27	17
87.51	15

Atomic structure:
```
data_YThSeN
_chemical_formula_sum 'Y2 Th2 Se2 N2'
_cell_length_a 4.288
_cell_length_b 4.288
_cell_length_c 9.591
_cell_angle_alpha 90.00
_cell_angle_beta 90.00
_cell_angle_gamma 90.00
_symmetry_space_group_name_H-M 'P 1'
_symmetry_Int_Tables_number 1
loop_
_symmetry_equiv_pos_as_xyz
'x,y,z'
loop_
_atom_site_label
_atom_site_fract_x
_atom_site_fract_y
_atom_site_fract_z
Y1 0.250 0.750 0.000
Y2 0.750 0.250 0.000
Th1 0.250 0.250 0.389
Th2 0.750 0.750 0.611
Se1 0.250 0.250 0.790
Se2 0.750 0.750 0.210
N1 0.250 0.750 0.500
N2 0.750 0.250 0.500
```

=====

The following is a computed X-ray diffraction stick pattern of Sm4TmS7. It was derived from a cell relaxed with GGA-PBE, using Cu Kα.

Most intense lines, 10° ≤ 2θ ≤ 90°, in order of rising 2θ:
two_theta	I_rel
23.63	79
24.05	100
25.84	33
27.29	37
30.96	37
32.56	54
33.72	34
41.51	28
46.56	34
46.85	26

Atomic structure:
```
data_Sm4TmS7
_chemical_formula_sum 'Sm4 Tm1 S7'
_cell_length_a 6.819
_cell_length_b 6.819
_cell_length_c 11.759
_cell_angle_alpha 104.39
_cell_angle_beta 104.39
_cell_angle_gamma 33.04
_symmetry_space_group_name_H-M 'P 1'
_symmetry_Int_Tables_number 1
loop_
_symmetry_equiv_pos_as_xyz
'x,y,z'
loop_
_atom_site_label
_atom_site_fract_x
_atom_site_fract_y
_atom_site_fract_z
Sm1 0.000 0.000 0.000
Sm2 0.190 0.190 0.768
Sm3 0.587 0.587 0.384
Sm4 0.888 0.888 0.573
Tm1 0.776 0.776 0.154
S1 0.155 0.155 0.223
S2 0.227 0.227 0.524
S3 0.384 0.384 0.079
S4 0.548 0.548 0.627
S5 0.632 0.632 0.933
S6 0.848 0.848 0.791
S7 0.927 0.927 0.355
```

=====

The following is a computed X-ray diffraction stick pattern of Tb6Pm3Tm. It was derived from a cell relaxed with GGA-PBE, using Cu Kα.

Most intense lines, 10° ≤ 2θ ≤ 90°, in order of rising 2θ:
two_theta	I_rel
28.35	46
29.05	81
29.11	42
30.38	45
31.29	51
31.71	77
32.24	35
34.06	100
34.12	59
49.88	21

Atomic structure:
```
data_Tb6Pm3Tm
_chemical_formula_sum 'Tb6 Pm3 Tm1'
_cell_length_a 6.546
_cell_length_b 6.552
_cell_length_c 9.592
_cell_angle_alpha 89.94
_cell_angle_beta 70.11
_cell_angle_gamma 60.13
_symmetry_space_group_name_H-M 'P 1'
_symmetry_Int_Tables_number 1
loop_
_symmetry_equiv_pos_as_xyz
'x,y,z'
loop_
_atom_site_label
_atom_site_fract_x
_atom_site_fract_y
_atom_site_fract_z
Tb1 0.126 0.012 0.315
Tb2 0.298 0.349 0.051
Tb3 0.302 0.139 0.685
Tb4 0.698 0.861 0.315
Tb5 0.702 0.651 0.949
Tb6 0.874 0.988 0.685
Pm1 0.000 0.000 0.000
Pm2 0.455 0.559 0.687
Pm3 0.545 0.441 0.313
Tm1 0.000 0.500 0.500
```

=====

The following is a computed X-ray diffraction stick pattern of Pr4HgGe2. It was derived from a cell relaxed with GGA-PBE, using Cu Kα.

Most intense lines, 10° ≤ 2θ ≤ 90°, in order of rising 2θ:
two_theta	I_rel
30.16	63
30.38	100
35.94	15
36.09	98
45.64	16
47.64	14
47.86	13
50.01	14
61.37	16
63.23	16

Atomic structure:
```
data_Pr4HgGe2
_chemical_formula_sum 'Pr8 Hg2 Ge4'
_cell_length_a 8.076
_cell_length_b 8.076
_cell_length_c 8.076
_cell_angle_alpha 109.71
_cell_angle_beta 109.71
_cell_angle_gamma 109.00
_symmetry_space_group_name_H-M 'P 1'
_symmetry_Int_Tables_number 1
loop_
_symmetry_equiv_pos_as_xyz
'x,y,z'
loop_
_atom_site_label
_atom_site_fract_x
_atom_site_fract_y
_atom_site_fract_z
Pr1 0.109 0.507 0.747
Pr2 0.112 0.010 0.753
Pr3 0.257 0.359 0.247
Pr4 0.493 0.240 0.602
Pr5 0.638 0.891 0.398
Pr6 0.641 0.888 0.898
Pr7 0.760 0.362 0.253
Pr8 0.990 0.743 0.102
Hg1 0.250 0.750 0.500
Hg2 0.500 0.500 0.000
Ge1 0.006 0.125 0.381
Ge2 0.375 0.994 0.119
Ge3 0.744 0.625 0.619
Ge4 0.875 0.256 0.881
```